# 1
Starting from a PBE-relaxed structure, the PXRD pattern of Sr5Ge2I2 was computed for a wavelength of 1.5418 Å.

Structural model:
```
18
Lattice="8.4001 -4.5022 0.0000 8.4001 4.5022 0.0000 0.0000 0.0000 9.0222" Properties=species:S:1:pos:R:3 pbc="T T T"
Sr 0.0000 0.0000 0.0000
Sr 6.5714 3.2018 5.8030
Sr 6.5714 1.3004 1.2919
Sr 10.2288 3.2018 5.8030
Sr 10.2288 1.3004 1.2919
Sr 8.4001 0.0000 4.5111
Sr 6.5714 -1.3004 7.7303
Sr 6.5714 -3.2018 3.2192
Sr 10.2288 -1.3004 7.7303
Sr 10.2288 -3.2018 3.2192
Ge 8.4001 3.0609 3.0699
Ge 8.4001 1.4412 7.5810
Ge 8.4001 -1.4412 1.4412
Ge 8.4001 -3.0609 5.9523
I 3.5187 0.0000 0.0000
I 4.8814 0.0000 4.5111
I 11.9187 0.0000 4.5111
I 13.2815 0.0000 0.0000
```

The 10 most intense peaks (2θ = 10–90°), by angle:
2θ 22.39, I 37
2θ 27.25, I 29
2θ 28.00, I 35
2θ 29.06, I 23
2θ 30.06, I 71
2θ 30.75, I 48
2θ 31.85, I 100
2θ 34.75, I 38
2θ 44.98, I 26
2θ 59.17, I 34

=====

# 2
Starting from a PBE-relaxed structure, the PXRD pattern of Al2SiPd5 was computed for a wavelength of 1.5418 Å.

Structural model:
```
16
Lattice="5.4540 0.0000 0.0000 0.0000 10.4987 0.0000 0.0000 0.0000 4.0781" Properties=species:S:1:pos:R:3 pbc="T T T"
Al 0.7518 1.5636 0.0000
Al 1.9752 6.8130 0.0000
Al 3.4788 3.6858 0.0000
Al 4.7022 8.9351 0.0000
Si 0.0000 5.2494 2.0390
Si 2.7270 0.0000 2.0390
Pd 0.0000 0.0000 2.0390
Pd 0.6049 7.5805 2.0390
Pd 0.9763 4.2071 0.0000
Pd 1.7508 9.4565 0.0000
Pd 2.1221 2.3311 2.0390
Pd 2.7270 5.2494 2.0390
Pd 3.3319 8.1676 2.0390
Pd 3.7033 1.0423 0.0000
Pd 4.4778 6.2916 0.0000
Pd 4.8491 2.9182 2.0390
```

The 10 most intense peaks (2θ = 10–90°), by angle:
2θ 28.62, I 22
2θ 32.28, I 54
2θ 37.67, I 27
2θ 38.05, I 24
2θ 39.76, I 41
2θ 40.72, I 93
2θ 40.89, I 100
2θ 42.00, I 45
2θ 44.43, I 57
2θ 62.79, I 27